# 1
The following is a theoretical powder X-ray diffraction pattern of SiP4PdPbO14. It was derived from DFT lattice parameters and positions (GGA-PBE), using Cu Kα, 1.54184 Å.
Kinematic intensities with the Lorentz-polarization factor, no thermal factor.

Structural model:
a = 4.552 Å, b = 17.107 Å, c = 6.409 Å
α = 90.00°, β = 101.48°, γ = 90.00°
Fractional positions:
Si1 0.000 0.000 0.000
Si2 0.000 0.500 0.000
P1 0.113 0.123 0.352
P2 0.113 0.377 0.352
P3 0.437 0.087 0.777
P4 0.437 0.413 0.777
P5 0.563 0.587 0.223
P6 0.563 0.913 0.223
P7 0.887 0.623 0.648
P8 0.887 0.877 0.648
Pd1 0.385 0.750 0.647
Pd2 0.615 0.250 0.353
Pb1 0.061 0.250 0.859
Pb2 0.939 0.750 0.141
O1 0.076 0.670 0.518
O2 0.076 0.830 0.518
O3 0.081 0.567 0.804
O4 0.081 0.933 0.804
O5 0.155 0.077 0.873
O6 0.155 0.423 0.873
O7 0.302 0.172 0.227
O8 0.302 0.328 0.227
O9 0.331 0.072 0.525
O10 0.331 0.428 0.525
O11 0.347 0.520 0.162
O12 0.347 0.980 0.162
O13 0.450 0.670 0.184
O14 0.450 0.830 0.184
O15 0.550 0.170 0.816
O16 0.550 0.330 0.816
O17 0.653 0.020 0.838
O18 0.653 0.480 0.838
O19 0.669 0.572 0.475
O20 0.669 0.928 0.475
O21 0.698 0.672 0.773
O22 0.698 0.828 0.773
O23 0.845 0.577 0.127
O24 0.845 0.923 0.127
O25 0.919 0.067 0.196
O26 0.919 0.433 0.196
O27 0.924 0.170 0.482
O28 0.924 0.330 0.482

Top 12 peaks for 2θ = 10–90°, by angle:
two_theta  I/Imax
10.3  87
20.8  18
22.6  33
27.1  100
28.9  67
31.4  18
32.6  16
34.1  34
34.4  21
41.7  30
45.3  18
47.1  16



# 2
The following is a theoretical powder X-ray diffraction pattern of Ag15Te. It was derived from DFT lattice parameters and positions (GGA-PBE), using Cu Kα, 1.54184 Å.
Kinematic intensities with the Lorentz-polarization factor, no thermal factor.

Structural model:
a = 4.980 Å, b = 31.890 Å, c = 4.985 Å
α = 90.00°, β = 108.57°, γ = 90.00°
Fractional positions:
Ag1 0.000 0.023 0.250
Ag2 0.000 0.070 0.750
Ag3 0.000 0.116 0.250
Ag4 0.000 0.163 0.750
Ag5 0.000 0.210 0.250
Ag6 0.000 0.256 0.750
Ag7 0.000 0.304 0.250
Ag8 0.000 0.351 0.750
Ag9 0.000 0.649 0.250
Ag10 0.000 0.696 0.750
Ag11 0.000 0.744 0.250
Ag12 0.000 0.790 0.750
Ag13 0.000 0.837 0.250
Ag14 0.000 0.884 0.750
Ag15 0.000 0.930 0.250
Ag16 0.000 0.977 0.750
Ag17 0.500 0.023 0.750
Ag18 0.500 0.070 0.250
Ag19 0.500 0.117 0.750
Ag20 0.500 0.163 0.250
Ag21 0.500 0.210 0.750
Ag22 0.500 0.257 0.250
Ag23 0.500 0.305 0.750
Ag24 0.500 0.695 0.250
Ag25 0.500 0.743 0.750
Ag26 0.500 0.790 0.250
Ag27 0.500 0.837 0.750
Ag28 0.500 0.883 0.250
Ag29 0.500 0.930 0.750
Ag30 0.500 0.977 0.250
Te1 0.500 0.359 0.250
Te2 0.500 0.641 0.750

Top 12 peaks for 2θ = 10–90°, by angle:
two_theta  I/Imax
35.9  48
38.1  100
38.2  95
42.0  30
44.1  51
44.8  36
64.0  12
64.7  31
74.3  21
77.1  18
78.1  21
81.5  11



# 3
The following is a theoretical powder X-ray diffraction pattern of NdFeSiGe. It was derived from DFT lattice parameters and positions (GGA-PBE), using Cu Kα, 1.54184 Å.
Kinematic intensities with the Lorentz-polarization factor, no thermal factor.

Structural model:
a = 4.357 Å, b = 4.092 Å, c = 8.233 Å
α = 90.00°, β = 103.46°, γ = 90.00°
Fractional positions:
Nd1 0.110 0.250 0.209
Nd2 0.890 0.750 0.791
Fe1 0.380 0.250 0.602
Fe2 0.620 0.750 0.398
Si1 0.174 0.750 0.497
Si2 0.826 0.250 0.503
Ge1 0.443 0.250 0.897
Ge2 0.557 0.750 0.103

Top 12 peaks for 2θ = 10–90°, by angle:
two_theta  I/Imax
30.4  40
30.6  42
33.6  16
34.1  100
34.8  45
35.3  32
40.3  56
41.5  35
44.3  38
57.9  15
58.3  16
62.3  21



# 4
The following is a theoretical powder X-ray diffraction pattern of PrGeAuS3. It was derived from DFT lattice parameters and positions (GGA-PBE), using Cu Kα, 1.54184 Å.
Kinematic intensities with the Lorentz-polarization factor, no thermal factor.

Structural model:
a = 6.666 Å, b = 6.666 Å, c = 10.775 Å
α = 90.00°, β = 90.00°, γ = 145.85°
Fractional positions:
Pr1 0.000 0.000 0.000
Pr2 0.000 0.000 0.500
Ge1 0.231 0.769 0.750
Ge2 0.769 0.231 0.250
Au1 0.473 0.527 0.250
Au2 0.527 0.473 0.750
S1 0.106 0.894 0.250
S2 0.347 0.653 0.074
S3 0.347 0.653 0.426
S4 0.653 0.347 0.574
S5 0.653 0.347 0.926
S6 0.894 0.106 0.750

Top 12 peaks for 2θ = 10–90°, by angle:
two_theta  I/Imax
13.9  84
28.0  23
29.1  83
32.2  36
33.3  35
35.4  100
36.2  22
44.0  21
45.7  21
46.4  20
56.9  19
78.7  16